For Mg2MnSbO6, a crystal structure in the Materials Project, relaxed with GGA+U gives the simulated powder X-ray diffraction pattern in this record (Cu Kα (λ = 1.5418 Å)).
Kinematic intensities with the Lorentz-polarization factor, no thermal factor.

Cell and atoms:
```
data_Mg2MnSbO6
_cell_length_a 5.3131
_cell_length_b 7.5564
_cell_length_c 5.4074
_cell_angle_alpha 90.00
_cell_angle_beta 94.65
_cell_angle_gamma 90.00
_space_group_name_H-M_alt 'P 1 21/m 1'
_space_group_IT_number 11
_space_group_name_Hall '-P 2yb'
loop_
_atom_site_label
_atom_site_type_symbol
_atom_site_fract_x
_atom_site_fract_y
_atom_site_fract_z
_atom_site_occupancy
Mg1 Mg 0.0279 0.2500 0.0698 1
Mg2 Mg 0.4672 0.7500 0.4731 1
Mn1 Mn 0.0000 0.0000 0.5000 1
Sb1 Sb 0.5000 0.0000 0.0000 1
O1 O 0.1094 0.7500 0.5746 1
O2 O 0.1695 0.0645 0.8206 1
O3 O 0.3419 0.0713 0.3015 1
O4 O 0.3646 0.7500 0.0816 1
```

Peak list (6 most intense, 15° ≤ 2θ ≤ 90°, by intensity)
two_theta  d [Å]  Rel. int.
32.84  2.727  100.0
34.24  2.619  79.4
22.56  3.941  57.9
23.55  3.778  54.5
24.50  3.633  53.8
33.85  2.648  43.2